(1)
This entry pairs a crystal structure of Pr4Co with its simulated X-ray diffraction stick pattern. Radiation: λ = 1.5418 Å (Cu Kα). Structure: the GGA-PBE geometry in Alexandria.

Structure:
```
Pr4Co
1.0
-4.3188 4.3188 4.2809
4.3188 -4.3188 4.2809
4.3188 4.3188 -4.2809
Pr Co
8 2
direct
0.0817 0.3772 0.2936
0.0836 0.7881 0.7064
0.1272 0.3317 0.7936
0.2119 0.9183 0.2955
0.5381 0.3336 0.2064
0.6228 0.9164 0.7045
0.6664 0.8728 0.2045
0.6683 0.4619 0.7955
0.0000 0.0000 0.0000
0.7500 0.2500 0.5000
```

The 10 most intense peaks (2θ from 10° to 90°), in order of rising 2θ:
d 3.054, 2θ 29.2, I = 43.3
d 3.040, 2θ 29.4, I = 100.0
d 2.729, 2θ 32.8, I = 38.2
d 2.710, 2θ 33.1, I = 32.8
d 2.306, 2θ 39.1, I = 23.1
d 2.159, 2θ 41.8, I = 20.7
d 1.835, 2θ 49.7, I = 17.5
d 1.761, 2θ 51.9, I = 19.7
d 1.693, 2θ 54.2, I = 15.8
d 1.576, 2θ 58.6, I = 13.9

---

(2)
This entry pairs a crystal structure of Pm2PdRhO6 with its simulated X-ray diffraction stick pattern. Radiation: λ = 1.5418 Å (Cu Kα). Structure: the GGA-PBE geometry in Alexandria.

Structure:
```
Pm2PdRhO6
1.0
5.4710 0.0000 0.0000
0.0000 6.0604 0.0000
-5.4531 0.0000 7.6171
Pm Pd Rh O
4 2 2 12
direct
0.2219 0.0857 0.2506
0.2219 0.4143 0.7506
0.7781 0.5857 0.2494
0.7781 0.9143 0.7494
0.0000 0.0000 0.5000
0.0000 0.5000 0.0000
0.5000 0.0000 0.0000
0.5000 0.5000 0.5000
0.1305 0.1789 0.9464
0.1305 0.3211 0.4464
0.2749 0.6999 0.9420
0.2749 0.8001 0.4420
0.3768 0.0466 0.7498
0.3768 0.4534 0.2498
0.6232 0.5466 0.7502
0.6232 0.9534 0.2502
0.7251 0.1999 0.5580
0.7251 0.3001 0.0580
0.8695 0.6789 0.5536
0.8695 0.8211 0.0536
```

The 10 most intense peaks (2θ from 10° to 90°), in order of rising 2θ:
d 3.584, 2θ 24.8, I = 22.0
d 3.030, 2θ 29.5, I = 18.9
d 2.816, 2θ 31.8, I = 13.9
d 2.778, 2θ 32.2, I = 100.0
d 2.736, 2θ 32.7, I = 25.9
d 2.031, 2θ 44.6, I = 14.8
d 1.962, 2θ 46.3, I = 12.4
d 1.904, 2θ 47.8, I = 13.4
d 1.839, 2θ 49.6, I = 15.3
d 1.586, 2θ 58.2, I = 12.9